Structure and simulated XRD peak list of Ba8Fe8O21 (a structure optimized by DFT (GGA+U); copper Kα).

Structure:
a b c (Å): 5.7326 5.7724 19.0237
angles (deg): 97.56 90.70 119.31
Element x y z (fractional)
Ba  0.0000  0.0000  0.0000
Ba  0.1126  0.2335  0.3711
Ba  0.2614  0.5140  0.7539
Ba  0.3695  0.7437  0.1268
Ba  0.5000  0.0000  0.5000
Ba  0.6305  0.2563  0.8732
Ba  0.7386  0.4860  0.2461
Ba  0.8874  0.7665  0.6289
Fe  0.0394  0.1012  0.1863
Fe  0.1721  0.3420  0.5561
Fe  0.3600  0.6502  0.9307
Fe  0.3994  0.8098  0.3041
Fe  0.6006  0.1902  0.6959
Fe  0.6400  0.3498  0.0693
Fe  0.8279  0.6580  0.4439
Fe  0.9606  0.8988  0.8137
O  0.0000  0.0000  0.5000
O  0.0000  0.5000  0.5000
O  0.1073  0.7272  0.3754
O  0.1292  0.7499  0.8821
O  0.1348  0.2692  0.8768
O  0.2231  0.4666  0.2476
O  0.2548  0.9981  0.2578
O  0.2679  0.0132  0.7493
O  0.3488  0.2256  0.1266
O  0.3857  0.2594  0.6250
O  0.5000  0.0000  0.0000
O  0.5000  0.5000  0.0000
O  0.5000  0.5000  0.5000
O  0.6143  0.7406  0.3750
O  0.6512  0.7744  0.8734
O  0.7321  0.9868  0.2507
O  0.7452  0.0019  0.7422
O  0.7769  0.5334  0.7524
O  0.8652  0.7308  0.1232
O  0.8708  0.2501  0.1179
O  0.8927  0.2728  0.6246

Top 10 peaks for 2θ = 10–90°, low angle first:
d/Å, 2theta, I_rel
2.902, 30.81, 100.0
2.882, 31.03, 95.5
2.863, 31.24, 91.5
2.355, 38.21, 38.0
2.066, 43.82, 28.6
2.039, 44.44, 29.3
2.011, 45.09, 29.3
1.676, 54.76, 23.5
1.665, 55.17, 17.2
1.654, 55.58, 18.1